Starting from a DFT-relaxed cell (PBE, Alexandria), the powder diffraction line list of Nd3ThSi4 was simulated for Cu Kα (weighted mean of Kα1 and Kα2).

Most intense lines, 2θ from 10° to 80°, low angle first:
d 5.986, I 12
d 3.225, I 25
d 3.204, I 100
d 2.875, I 16
d 2.676, I 14
d 2.635, I 24
d 2.514, I 18
d 2.301, I 18
d 2.078, I 13
d 1.858, I 22
d 1.740, I 18
d 1.384, I 13

```
data_Nd3ThSi4
_cell_length_a 8.8983
_cell_length_b 8.8983
_cell_length_c 8.8983
_cell_angle_alpha 152.99
_cell_angle_beta 137.50
_cell_angle_gamma 51.09
_symmetry_space_group_name_H-M 'P 1'
_symmetry_Int_Tables_number 1
_symmetry_space_group_name_Hall 'P 1'
loop_
_atom_site_label
_atom_site_fract_x
_atom_site_fract_y
_atom_site_fract_z
_atom_site_occupancy
Nd1 0.0000 0.0000 0.0000 1
Nd2 0.3068 0.8068 0.5000 1
Nd3 0.6932 0.1932 0.5000 1
Th1 0.5000 0.5000 0.0000 1
Si1 0.0500 0.3685 0.6815 1
Si2 0.3130 0.6315 0.6815 1
Si3 0.6870 0.3685 0.3185 1
Si4 0.9500 0.6315 0.3185 1
```

Starting from a DFT-relaxed cell (PBE, Alexandria), the powder diffraction line list of NdTh2Si6 was simulated for Cu Kα (weighted mean of Kα1 and Kα2).

Most intense lines, 2θ from 10° to 80°, low angle first:
d 4.184, I 18
d 3.571, I 55
d 2.716, I 100
d 2.092, I 10
d 2.061, I 29
d 1.849, I 13
d 1.805, I 17
d 1.785, I 8
d 1.642, I 22
d 1.468, I 20
d 1.299, I 10
d 1.284, I 20

```
data_NdTh2Si6
_cell_length_a 7.1411
_cell_length_b 7.1411
_cell_length_c 4.1840
_cell_angle_alpha 90.00
_cell_angle_beta 90.00
_cell_angle_gamma 120.00
_symmetry_space_group_name_H-M 'P 1'
_symmetry_Int_Tables_number 1
_symmetry_space_group_name_Hall 'P 1'
loop_
_atom_site_label
_atom_site_fract_x
_atom_site_fract_y
_atom_site_fract_z
_atom_site_occupancy
Nd1 0.0000 0.0000 0.0000 1
Th1 0.3333 0.6667 0.0000 1
Th2 0.6667 0.3333 0.0000 1
Si1 0.0000 0.3339 0.5000 1
Si2 0.0000 0.6661 0.5000 1
Si3 0.3339 0.0000 0.5000 1
Si4 0.3339 0.3339 0.5000 1
Si5 0.6661 0.0000 0.5000 1
Si6 0.6661 0.6661 0.5000 1
```

Starting from a DFT-relaxed cell (PBE, Alexandria), the powder diffraction line list of Nd5Tl2Si was simulated for Cu Kα (weighted mean of Kα1 and Kα2).

Most intense lines, 2θ from 10° to 80°, low angle first:
d 3.026, I 64
d 2.987, I 35
d 2.841, I 100
d 2.782, I 52
d 2.747, I 23
d 2.662, I 15
d 2.587, I 57
d 1.956, I 22
d 1.884, I 16
d 1.660, I 15
d 1.538, I 20
d 1.534, I 16

```
data_Nd5Tl2Si
_cell_length_a 7.0343
_cell_length_b 13.1989
_cell_length_c 5.1747
_cell_angle_alpha 90.00
_cell_angle_beta 90.00
_cell_angle_gamma 90.00
_symmetry_space_group_name_H-M 'P 1'
_symmetry_Int_Tables_number 1
_symmetry_space_group_name_Hall 'P 1'
loop_
_atom_site_label
_atom_site_fract_x
_atom_site_fract_y
_atom_site_fract_z
_atom_site_occupancy
Nd1 0.0000 0.0000 0.0000 1
Nd2 0.1315 0.2853 0.0000 1
Nd3 0.1720 0.5842 0.5000 1
Nd4 0.3280 0.0842 0.5000 1
Nd5 0.3685 0.7853 0.0000 1
Nd6 0.5000 0.5000 0.0000 1
Nd7 0.6315 0.2147 0.0000 1
Nd8 0.6720 0.9158 0.5000 1
Nd9 0.8280 0.4158 0.5000 1
Nd10 0.8685 0.7147 0.0000 1
Tl1 0.1100 0.8409 0.5000 1
Tl2 0.3900 0.3409 0.5000 1
Tl3 0.6100 0.6591 0.5000 1
Tl4 0.8900 0.1591 0.5000 1
Si1 0.0000 0.5000 0.0000 1
Si2 0.5000 0.0000 0.0000 1
```

Starting from a DFT-relaxed cell (PBE, Alexandria), the powder diffraction line list of Nd5Tl2Si2 was simulated for Cu Kα (weighted mean of Kα1 and Kα2).

Most intense lines, 2θ from 10° to 80°, low angle first:
d 3.468, I 28
d 2.977, I 32
d 2.854, I 92
d 2.843, I 100
d 2.831, I 61
d 2.799, I 83
d 2.677, I 37
d 2.482, I 27
d 2.467, I 28
d 1.914, I 28
d 1.734, I 32
d 1.622, I 46

```
data_Nd5Tl2Si2
_cell_length_a 9.1035
_cell_length_b 9.1035
_cell_length_c 7.9464
_cell_angle_alpha 90.00
_cell_angle_beta 90.00
_cell_angle_gamma 51.33
_symmetry_space_group_name_H-M 'P 1'
_symmetry_Int_Tables_number 1
_symmetry_space_group_name_Hall 'P 1'
loop_
_atom_site_label
_atom_site_fract_x
_atom_site_fract_y
_atom_site_fract_z
_atom_site_occupancy
Nd1 0.0000 0.0000 0.0000 1
Nd2 0.0631 0.6875 0.6807 1
Nd3 0.1875 0.5631 0.1807 1
Nd4 0.3125 0.9369 0.6807 1
Nd5 0.4369 0.8125 0.1807 1
Nd6 0.5000 0.5000 0.5000 1
Nd7 0.5631 0.1875 0.8193 1
Nd8 0.6875 0.0631 0.3193 1
Nd9 0.8125 0.4369 0.8193 1
Nd10 0.9369 0.3125 0.3193 1
Tl1 0.2222 0.2222 0.0000 1
Tl2 0.2778 0.2778 0.5000 1
Tl3 0.7222 0.7222 0.5000 1
Tl4 0.7778 0.7778 0.0000 1
Si1 0.1109 0.8891 0.3857 1
Si2 0.3891 0.6109 0.8857 1
Si3 0.6109 0.3891 0.1143 1
Si4 0.8891 0.1109 0.6143 1
```

Starting from a DFT-relaxed cell (PBE, Alexandria), the powder diffraction line list of Nd12TlSi5 was simulated for Cu Kα (weighted mean of Kα1 and Kα2).

Most intense lines, 2θ from 10° to 80°, low angle first:
d 3.335, I 20
d 3.176, I 30
d 3.104, I 23
d 2.921, I 100
d 2.759, I 47
d 2.710, I 36
d 2.665, I 15
d 2.657, I 15
d 2.647, I 15
d 2.450, I 23
d 1.639, I 17
d 1.609, I 19

```
data_Nd12TlSi5
_cell_length_a 8.7835
_cell_length_b 8.7835
_cell_length_c 8.7835
_cell_angle_alpha 112.20
_cell_angle_beta 110.73
_cell_angle_gamma 105.55
_symmetry_space_group_name_H-M 'P 1'
_symmetry_Int_Tables_number 1
_symmetry_space_group_name_Hall 'P 1'
loop_
_atom_site_label
_atom_site_fract_x
_atom_site_fract_y
_atom_site_fract_z
_atom_site_occupancy
Nd1 0.0322 0.2306 0.8016 1
Nd2 0.1812 0.2709 0.4520 1
Nd3 0.1812 0.7291 0.9103 1
Nd4 0.3196 0.0237 0.7041 1
Nd5 0.3196 0.6154 0.2959 1
Nd6 0.4289 0.2306 0.1984 1
Nd7 0.5711 0.7694 0.8016 1
Nd8 0.6804 0.3846 0.7041 1
Nd9 0.6804 0.9763 0.2959 1
Nd10 0.8188 0.2709 0.0897 1
Nd11 0.8188 0.7291 0.5480 1
Nd12 0.9678 0.7694 0.1984 1
Tl1 0.5000 0.5000 0.0000 1
Si1 0.0000 0.0000 0.0000 1
Si2 0.1125 0.6125 0.5000 1
Si3 0.3774 0.0000 0.3774 1
Si4 0.6226 0.0000 0.6226 1
Si5 0.8875 0.3875 0.5000 1
```

Starting from a DFT-relaxed cell (PBE, Alexandria), the powder diffraction line list of Nd7TlSi5 was simulated for Cu Kα (weighted mean of Kα1 and Kα2).

Most intense lines, 2θ from 10° to 80°, low angle first:
d 7.496, I 25
d 3.748, I 26
d 3.183, I 100
d 3.094, I 79
d 2.966, I 90
d 2.696, I 72
d 2.618, I 24
d 2.499, I 30
d 2.386, I 38
d 2.030, I 27
d 1.944, I 25
d 1.591, I 27

```
data_Nd7TlSi5
_cell_length_a 8.1403
_cell_length_b 8.1403
_cell_length_c 8.1403
_cell_angle_alpha 135.32
_cell_angle_beta 93.71
_cell_angle_gamma 102.96
_symmetry_space_group_name_H-M 'P 1'
_symmetry_Int_Tables_number 1
_symmetry_space_group_name_Hall 'P 1'
loop_
_atom_site_label
_atom_site_fract_x
_atom_site_fract_y
_atom_site_fract_z
_atom_site_occupancy
Nd1 0.0000 0.0000 0.0000 1
Nd2 0.3645 0.6790 0.6855 1
Nd3 0.3774 0.3774 0.0000 1
Nd4 0.4382 0.1068 0.3313 1
Nd5 0.7755 0.1068 0.6687 1
Nd6 0.8606 0.3606 0.5000 1
Nd7 0.9934 0.6790 0.3145 1
Tl1 0.6859 0.6859 0.0000 1
Si1 0.1429 0.2067 0.5425 1
Si2 0.1429 0.6004 0.9362 1
Si3 0.3816 0.8816 0.5000 1
Si4 0.6641 0.2067 0.0638 1
Si5 0.6641 0.6004 0.4575 1
```

Starting from a DFT-relaxed cell (PBE, Alexandria), the powder diffraction line list of Nd2Tm3Si4 was simulated for Cu Kα (weighted mean of Kα1 and Kα2).

Most intense lines, 2θ from 10° to 80°, low angle first:
d 3.872, I 23
d 3.395, I 30
d 3.296, I 28
d 3.041, I 28
d 2.692, I 100
d 2.662, I 49
d 2.652, I 20
d 2.424, I 29
d 2.372, I 23
d 2.356, I 31
d 1.719, I 26
d 1.616, I 25

```
data_Nd2Tm3Si4
_cell_length_a 7.6881
_cell_length_b 7.7376
_cell_length_c 7.4212
_cell_angle_alpha 90.00
_cell_angle_beta 107.34
_cell_angle_gamma 90.00
_symmetry_space_group_name_H-M 'P 1'
_symmetry_Int_Tables_number 1
_symmetry_space_group_name_Hall 'P 1'
loop_
_atom_site_label
_atom_site_fract_x
_atom_site_fract_y
_atom_site_fract_z
_atom_site_occupancy
Nd1 0.1964 0.1759 0.0799 1
Nd2 0.1964 0.3241 0.5799 1
Nd3 0.8036 0.6759 0.4201 1
Nd4 0.8036 0.8241 0.9201 1
Tm1 0.2462 0.6797 0.2521 1
Tm2 0.2462 0.8203 0.7521 1
Tm3 0.5000 0.0000 0.5000 1
Tm4 0.5000 0.5000 0.0000 1
Tm5 0.7538 0.1797 0.2479 1
Tm6 0.7538 0.3203 0.7479 1
Si1 0.0782 0.5328 0.8746 1
Si2 0.0782 0.9672 0.3746 1
Si3 0.4936 0.1193 0.8750 1
Si4 0.4936 0.3807 0.3750 1
Si5 0.5064 0.6193 0.6250 1
Si6 0.5064 0.8807 0.1250 1
Si7 0.9218 0.0328 0.6254 1
Si8 0.9218 0.4672 0.1254 1
```

Starting from a DFT-relaxed cell (PBE, Alexandria), the powder diffraction line list of NdZn3Si2 was simulated for Cu Kα (weighted mean of Kα1 and Kα2).

Most intense lines, 2θ from 10° to 80°, low angle first:
d 3.897, I 20
d 3.647, I 22
d 3.383, I 16
d 3.205, I 15
d 2.783, I 50
d 2.575, I 50
d 2.566, I 16
d 2.485, I 100
d 2.398, I 75
d 2.059, I 37
d 1.873, I 18
d 1.607, I 30

```
data_NdZn3Si2
_cell_length_a 8.0605
_cell_length_b 8.0605
_cell_length_c 7.8553
_cell_angle_alpha 118.69
_cell_angle_beta 118.69
_cell_angle_gamma 29.60
_symmetry_space_group_name_H-M 'P 1'
_symmetry_Int_Tables_number 1
_symmetry_space_group_name_Hall 'P 1'
loop_
_atom_site_label
_atom_site_fract_x
_atom_site_fract_y
_atom_site_fract_z
_atom_site_occupancy
Nd1 0.1518 0.1518 0.0688 1
Nd2 0.8482 0.8482 0.9312 1
Zn1 0.0393 0.0393 0.3663 1
Zn2 0.3079 0.3079 0.5542 1
Zn3 0.4035 0.4035 0.3020 1
Zn4 0.5965 0.5965 0.6980 1
Zn5 0.6921 0.6921 0.4458 1
Zn6 0.9607 0.9607 0.6337 1
Si1 0.1873 0.1873 0.6977 1
Si2 0.4810 0.4810 0.8364 1
Si3 0.5190 0.5190 0.1636 1
Si4 0.8127 0.8127 0.3023 1
```

Starting from a DFT-relaxed cell (PBE, Alexandria), the powder diffraction line list of Nd3Sm2 was simulated for Cu Kα (weighted mean of Kα1 and Kα2).

Most intense lines, 2θ from 10° to 80°, low angle first:
d 2.990, I 100
d 2.590, I 51
d 1.831, I 36
d 1.562, I 29
d 1.560, I 14
d 1.495, I 12
d 1.296, I 4
d 1.293, I 2

```
data_Nd3Sm2
_cell_length_a 6.3364
_cell_length_b 6.3364
_cell_length_c 8.1819
_cell_angle_alpha 130.10
_cell_angle_beta 130.10
_cell_angle_gamma 48.27
_symmetry_space_group_name_H-M 'P 1'
_symmetry_Int_Tables_number 1
_symmetry_space_group_name_Hall 'P 1'
loop_
_atom_site_label
_atom_site_fract_x
_atom_site_fract_y
_atom_site_fract_z
_atom_site_occupancy
Nd1 0.0000 0.0000 0.0000 1
Nd2 0.2000 0.2000 0.6007 1
Nd3 0.8000 0.8000 0.3993 1
Sm1 0.3995 0.3995 0.2000 1
Sm2 0.6005 0.6005 0.8000 1
```

Starting from a DFT-relaxed cell (PBE, Alexandria), the powder diffraction line list of Nd5Sm3 was simulated for Cu Kα (weighted mean of Kα1 and Kα2).

Most intense lines, 2θ from 10° to 80°, low angle first:
d 3.198, I 23
d 2.963, I 26
d 2.814, I 100
d 2.174, I 16
d 1.846, I 20
d 1.681, I 22
d 1.567, I 23
d 1.544, I 16
d 1.482, I 3
d 1.407, I 4
d 1.344, I 3
d 1.243, I 8

```
data_Nd5Sm3
_cell_length_a 7.3892
_cell_length_b 8.7165
_cell_length_c 8.7165
_cell_angle_alpha 85.67
_cell_angle_beta 90.00
_cell_angle_gamma 90.00
_symmetry_space_group_name_H-M 'P 1'
_symmetry_Int_Tables_number 1
_symmetry_space_group_name_Hall 'P 1'
loop_
_atom_site_label
_atom_site_fract_x
_atom_site_fract_y
_atom_site_fract_z
_atom_site_occupancy
Nd1 0.0000 0.0000 0.0000 1
Nd2 0.0000 0.0842 0.5811 1
Nd3 0.0000 0.5811 0.0842 1
Nd4 0.2504 0.3321 0.8330 1
Nd5 0.2504 0.8330 0.3321 1
Nd6 0.2507 0.7497 0.7497 1
Nd7 0.5000 0.4988 0.4988 1
Nd8 0.7493 0.7497 0.7497 1
Nd9 0.7496 0.3321 0.8330 1
Nd10 0.7496 0.8330 0.3321 1
Sm1 0.0000 0.4992 0.4992 1
Sm2 0.2507 0.2495 0.2495 1
Sm3 0.5000 0.0002 0.0002 1
Sm4 0.5000 0.0835 0.5823 1
Sm5 0.5000 0.5823 0.0835 1
Sm6 0.7493 0.2495 0.2495 1
```

Starting from a DFT-relaxed cell (PBE, Alexandria), the powder diffraction line list of Nd6Sm was simulated for Cu Kα (weighted mean of Kα1 and Kα2).

Most intense lines, 2θ from 10° to 80°, low angle first:
d 3.785, I 22
d 3.200, I 100
d 2.952, I 78
d 2.885, I 60
d 2.839, I 29
d 2.641, I 77
d 2.502, I 23
d 2.358, I 27
d 1.807, I 23
d 1.693, I 54
d 1.556, I 24
d 1.452, I 27

```
data_Nd6Sm
_cell_length_a 6.6706
_cell_length_b 6.6706
_cell_length_c 11.3544
_cell_angle_alpha 90.00
_cell_angle_beta 90.00
_cell_angle_gamma 90.00
_symmetry_space_group_name_H-M 'P 1'
_symmetry_Int_Tables_number 1
_symmetry_space_group_name_Hall 'P 1'
loop_
_atom_site_label
_atom_site_fract_x
_atom_site_fract_y
_atom_site_fract_z
_atom_site_occupancy
Nd1 0.0820 0.5820 0.1391 1
Nd2 0.0820 0.9180 0.8609 1
Nd3 0.2500 0.2500 0.3620 1
Nd4 0.2500 0.2500 0.6380 1
Nd5 0.4180 0.5820 0.8609 1
Nd6 0.4180 0.9180 0.1391 1
Nd7 0.5820 0.0820 0.8609 1
Nd8 0.5820 0.4180 0.1391 1
Nd9 0.7500 0.7500 0.3620 1
Nd10 0.7500 0.7500 0.6380 1
Nd11 0.9180 0.0820 0.1391 1
Nd12 0.9180 0.4180 0.8609 1
Sm1 0.2500 0.7500 0.5000 1
Sm2 0.7500 0.2500 0.5000 1
```

Starting from a DFT-relaxed cell (PBE, Alexandria), the powder diffraction line list of Nd3Sm8 was simulated for Cu Kα (weighted mean of Kα1 and Kα2).

Most intense lines, 2θ from 10° to 80°, low angle first:
d 2.973, I 100
d 2.574, I 51
d 1.820, I 36
d 1.552, I 43
d 1.486, I 12
d 1.287, I 6

```
data_Nd3Sm8
_cell_length_a 32.7600
_cell_length_b 32.7600
_cell_length_c 32.7600
_cell_angle_alpha 6.37
_cell_angle_beta 6.37
_cell_angle_gamma 6.37
_symmetry_space_group_name_H-M 'P 1'
_symmetry_Int_Tables_number 1
_symmetry_space_group_name_Hall 'P 1'
loop_
_atom_site_label
_atom_site_fract_x
_atom_site_fract_y
_atom_site_fract_z
_atom_site_occupancy
Nd1 0.0000 0.0000 0.0000 1
Nd2 0.2724 0.2724 0.2724 1
Nd3 0.7276 0.7276 0.7276 1
Sm1 0.0914 0.0914 0.0914 1
Sm2 0.1817 0.1817 0.1817 1
Sm3 0.3638 0.3638 0.3638 1
Sm4 0.4548 0.4548 0.4548 1
Sm5 0.5452 0.5452 0.5452 1
Sm6 0.6362 0.6362 0.6362 1
Sm7 0.8183 0.8183 0.8183 1
Sm8 0.9086 0.9086 0.9086 1
```